Simulated powder diffraction line list
Compound: K3CoS3
Radiation: Cu Kα (λ = 1.5418 Å)
Structure: a crystal structure in Alexandria, relaxed with GGA-PBE
Neutral-atom scattering factors, no anomalous dispersion.

The 12 most intense peaks (15° ≤ 2θ ≤ 90°), by intensity:
| 2theta | intensity |
| --- | --- |
| 15.67 | 100 |
| 28.29 | 80 |
| 40.80 | 72 |
| 25.43 | 70 |
| 29.10 | 55 |
| 39.15 | 46 |
| 39.52 | 42 |
| 28.78 | 41 |
| 33.64 | 38 |
| 34.57 | 28 |
| 52.36 | 23 |
| 58.08 | 18 |

Structure:
```
28
Lattice="9.3071 -3.3635 0.0000 9.3071 3.3635 0.0000 0.0000 0.0000 12.6181" Properties=species:S:1:pos:R:3 pbc="T T T"
K 3.2929 1.1321 10.9792
K 9.3071 2.3624 10.5459
K 6.0141 1.1321 7.9479
K 3.2929 -1.1321 1.6389
K 9.3071 1.0011 4.2368
K 6.0141 -1.1321 4.6702
K 12.6000 1.1321 7.9479
K 9.3071 -1.0011 8.3813
K 15.3212 1.1321 10.9792
K 12.6000 -1.1321 4.6702
K 9.3071 -2.3624 2.0722
K 15.3212 -1.1321 1.6389
Co 1.4912 0.0000 6.3091
Co 7.8159 0.0000 0.0000
Co 10.7983 0.0000 0.0000
Co 17.1230 0.0000 6.3091
S 6.5151 2.2540 4.8773
S 6.5151 1.1095 11.1864
S 9.3071 2.0022 7.3747
S 9.3071 1.3613 1.0656
S 12.0991 2.2540 4.8773
S 12.0991 1.1095 11.1864
S 6.5151 -1.1095 1.4317
S 6.5151 -2.2540 7.7408
S 9.3071 -1.3613 11.5525
S 9.3071 -2.0022 5.2435
S 12.0991 -1.1095 1.4317
S 12.0991 -2.2540 7.7408
```

Simulated powder diffraction line list
Compound: TiGeNF2
Radiation: Cu Kα (λ = 1.5418 Å)
Structure: a crystal structure in Alexandria, relaxed with GGA-PBE
Neutral-atom scattering factors, no anomalous dispersion.

The 12 most intense peaks (15° ≤ 2θ ≤ 90°), by intensity:
| 2theta | intensity |
| --- | --- |
| 31.48 | 100 |
| 45.11 | 48 |
| 56.04 | 38 |
| 65.70 | 27 |
| 38.80 | 22 |
| 74.62 | 10 |
| 83.27 | 9 |
| 74.77 | 6 |
| 78.95 | 4 |
| 79.09 | 2 |
| 50.79 | 1 |
| 22.10 | 1 |

Structure:
```
5
Lattice="4.0224 0.0000 0.0000 0.0000 4.0224 0.0000 0.0000 0.0000 4.0144" Properties=species:S:1:pos:R:3 pbc="T T T"
Ti 0.0000 0.0000 0.0000
Ge 2.0112 2.0112 2.0072
N 0.0000 0.0000 2.0072
F 0.0000 2.0112 0.0000
F 2.0112 0.0000 0.0000
```

Simulated powder diffraction line list
Compound: Al2TeCl
Radiation: Cu Kα (λ = 1.5418 Å)
Structure: a crystal structure in Alexandria, relaxed with GGA-PBE
Neutral-atom scattering factors, no anomalous dispersion.

The 12 most intense peaks (15° ≤ 2θ ≤ 90°), by intensity:
| 2theta | intensity |
| --- | --- |
| 30.50 | 100 |
| 27.17 | 86 |
| 36.65 | 74 |
| 19.51 | 64 |
| 27.65 | 58 |
| 27.94 | 53 |
| 19.38 | 48 |
| 46.46 | 45 |
| 46.20 | 30 |
| 48.98 | 25 |
| 23.24 | 21 |
| 47.52 | 18 |

Structure:
```
4
Lattice="4.8879 0.0000 0.0000 0.0000 3.8270 0.0000 -2.3793 0.0000 6.3838" Properties=species:S:1:pos:R:3 pbc="T T T"
Al 0.0000 0.0000 0.0000
Al -0.4870 1.9135 5.9844
Te 3.7174 1.9135 1.5590
Cl 1.1115 0.0000 4.5715
```

Which formula does entry 1 have? K3CoS3